BAu: calculated powder diffractogram (λ = 1.5418 Å (Cu Kα)), based on a PBE-relaxed structure.
Kinematic intensities with the Lorentz-polarization factor, no thermal factor.

Peak list (8 most intense, 10° ≤ 2θ ≤ 80°, sorted by position)
| 2θ (°) | d_spacing | I (rel.) | h k l |
| --- | --- | --- | --- |
| 16.21 | 5.468 | 24.5 | 1 1 0 |
| 23.11 | 3.849 | 79.8 | 2 0 0 |
| 30.93 | 2.891 | 100.0 | 0 2 1 |
| 38.96 | 2.312 | 82.1 | 2 2 1 |
| 41.72 | 2.165 | 27.0 | 0 0 2 |
| 42.58 | 2.123 | 38.4 | 3 1 1 |
| 48.23 | 1.887 | 22.0 | 2 0 2 |
| 69.46 | 1.353 | 20.5 | 0 2 3 |

Structure:
```
BAu
1.0
7.6972 0.0000 0.0000
0.0000 7.7684 0.0000
0.0000 0.0000 4.3297
B Au
8 8
Cartesian
0.8196 1.0058 1.1939
0.8196 6.7626 3.1358
3.0291 2.8784 3.3588
3.0291 4.8900 0.9710
4.6682 2.8784 3.1358
4.6682 4.8900 1.1939
6.8777 1.0058 0.9710
6.8777 6.7626 3.3588
1.5514 1.1343 3.3366
1.5514 6.6341 0.9931
2.2972 2.7499 1.1718
2.2972 5.0185 3.1580
5.4000 2.7499 0.9931
5.4000 5.0185 3.3366
6.1458 1.1343 3.1580
6.1458 6.6341 1.1718
```

Ca2Ga9Ir6: calculated powder diffractogram (λ = 1.5418 Å (Cu Kα)), based on a PBE-relaxed structure.
Kinematic intensities with the Lorentz-polarization factor, no thermal factor.

Peak list (8 most intense, 10° ≤ 2θ ≤ 80°, sorted by position)
| 2θ (°) | d_spacing | I (rel.) | h k l |
| --- | --- | --- | --- |
| 18.41 | 4.820 | 80.5 | 1 0 0 |
| 32.17 | 2.783 | 41.8 | 1 1 0 |
| 39.46 | 2.284 | 100.0 | 1 1 3 |
| 43.87 | 2.064 | 47.0 | 2 0 3 |
| 45.37 | 1.999 | 18.9 | 0 0 6 |
| 56.70 | 1.623 | 16.8 | 1 1 6 |
| 62.28 | 1.491 | 26.2 | 3 0 3 |
| 67.30 | 1.391 | 17.5 | 2 2 0 |

Structure:
```
Ca2Ga9Ir6
1.0
5.5652 0.0000 0.0000
-2.7826 4.8196 0.0000
0.0000 0.0000 11.9926
Ca Ga Ir
2 9 6
Cartesian
0.0000 0.0000 2.0104
0.0000 0.0000 9.9821
-1.3913 2.4098 0.0000
-1.3913 2.4098 4.0488
-1.3913 2.4098 7.9438
2.7826 0.0000 0.0000
2.7826 0.0000 4.0488
2.7826 0.0000 7.9438
1.3913 2.4098 0.0000
1.3913 2.4098 4.0488
1.3913 2.4098 7.9438
0.0000 3.2131 2.0498
0.0000 3.2131 5.9963
0.0000 3.2131 9.9428
2.7826 1.6065 2.0498
2.7826 1.6065 5.9963
2.7826 1.6065 9.9428
```